(1)
Y6In2N: theoretical X-ray diffraction stick pattern (Cu Ka), based on DFT lattice parameters and positions (PBE).

Peak list (8 most intense, 2θ from 10° to 90°, in order of rising 2θ)
25.9°, d 3.444, intensity 2
31.8°, d 2.812, intensity 100
36.9°, d 2.435, intensity 53
53.2°, d 1.722, intensity 36
63.3°, d 1.469, intensity 39
66.5°, d 1.406, intensity 12
78.6°, d 1.218, intensity 5
87.2°, d 1.117, intensity 16

Crystal structure
```
9
Lattice="0.0000 4.8709 4.8709 4.8709 0.0000 4.8709 4.8709 4.8709 0.0000" Properties=species:S:1:pos:R:3 pbc="T T T"
Y 4.8709 4.8709 2.3789
Y 4.8709 2.3789 4.8709
Y 7.3630 4.8709 4.8709
Y 2.3789 4.8709 4.8709
Y 4.8709 7.3630 4.8709
Y 4.8709 4.8709 7.3630
In 2.4355 2.4355 2.4355
In 7.3064 7.3064 7.3064
N 0.0000 0.0000 0.0000
```

=====

(2)
ZnInN: theoretical X-ray diffraction stick pattern (Cu Ka), based on DFT lattice parameters and positions (PBE).

Peak list (8 most intense, 2θ from 10° to 90°, in order of rising 2θ)
28.0°, d 3.191, intensity 20
30.6°, d 2.926, intensity 100
37.6°, d 2.393, intensity 66
49.3°, d 1.850, intensity 33
50.1°, d 1.820, intensity 11
59.1°, d 1.563, intensity 15
63.6°, d 1.464, intensity 30
80.4°, d 1.194, intensity 12

Crystal structure
```
6
Lattice="1.8497 1.0679 9.5840 -1.8497 1.0679 9.5840 0.0000 -2.1358 9.5840" Properties=species:S:1:pos:R:3 pbc="T T T"
Zn 0.0000 0.0000 3.9687
Zn 0.0000 0.0000 24.7833
In 0.0000 0.0000 10.8493
In 0.0000 0.0000 17.9027
N 0.0000 0.0000 8.4143
N 0.0000 0.0000 20.3377
```

=====

(3)
Zr3InN: theoretical X-ray diffraction stick pattern (Cu Ka), based on DFT lattice parameters and positions (PBE).

Peak list (8 most intense, 2θ from 10° to 90°, in order of rising 2θ)
33.6°, d 2.668, intensity 100
34.5°, d 2.599, intensity 92
38.9°, d 2.313, intensity 75
40.7°, d 2.218, intensity 33
55.0°, d 1.670, intensity 15
57.6°, d 1.601, intensity 46
66.6°, d 1.405, intensity 26
68.2°, d 1.374, intensity 24

Crystal structure
```
5
Lattice="3.3396 0.0000 0.0000 0.0000 4.4351 0.0000 0.0000 0.0000 6.4137" Properties=species:S:1:pos:R:3 pbc="T T T"
Zr 0.0000 0.0000 0.0000
Zr 1.6698 2.2175 1.5411
Zr 1.6698 2.2175 4.8726
In 0.0000 0.0000 3.2069
N 0.0000 2.2175 0.0000
```

=====

(4)
Zr3InN: theoretical X-ray diffraction stick pattern (Cu Ka), based on DFT lattice parameters and positions (PBE).

Peak list (8 most intense, 2θ from 10° to 90°, in order of rising 2θ)
32.5°, d 2.751, intensity 44
34.1°, d 2.629, intensity 100
35.3°, d 2.545, intensity 42
36.6°, d 2.456, intensity 44
37.1°, d 2.421, intensity 53
47.4°, d 1.919, intensity 19
48.2°, d 1.886, intensity 16
55.1°, d 1.668, intensity 19

Crystal structure
```
10
Lattice="5.2700 0.0000 0.0000 0.0000 6.2101 0.0000 -0.2183 0.0000 5.9318" Properties=species:S:1:pos:R:3 pbc="T T T"
Zr 1.2764 0.0240 0.8257
Zr 1.1691 1.5525 3.7546
Zr 1.2764 3.0810 0.8257
Zr 3.7753 3.1290 5.1061
Zr 3.8826 4.6576 2.1772
Zr 3.7753 6.1861 5.1061
In 1.2494 4.6576 3.8088
In 3.8022 1.5525 2.1230
N -0.0358 1.5525 5.5807
N 5.0875 4.6576 0.3511
```